Computed XRD peak list
Compound: KCaYWO6
Radiation: Cu Kα X-rays
Structure: a DFT-relaxed cell (GGA+U, the Materials Project)
Peak positions follow from Bragg's law for the DFT cell and can differ from measured ones.

Crystal structure
Unit cell a=8.3498 b=8.3498 c=8.3498 alpha=90.00 beta=90.00 gamma=90.00
Space group F-43m (No. 216)
Symmetry-distinct sites (fractional):
1 K 0.0000 0.0000 0.0000 (multiplicity 4)
2 Ca 0.0000 0.0000 0.5000 (multiplicity 4)
3 Y 0.2500 0.2500 0.2500 (multiplicity 4)
4 W 0.2500 0.2500 0.7500 (multiplicity 4)
5 O 0.0167 0.2500 0.7500 (multiplicity 24)

Top 6 peaks for 2θ from 10° to 90°, low angle first:
2theta  I/Imax
18.40  21
21.28  57
30.28  100
43.35  35
48.77  25
53.78  39

---

Computed XRD peak list
Compound: Ca2LaNdMn4O12
Radiation: Cu Kα X-rays
Structure: a DFT-relaxed cell (GGA+U, the Materials Project)
Peak positions follow from Bragg's law for the DFT cell and can differ from measured ones.

Crystal structure
Unit cell a=5.4806 b=7.6909 c=5.4953 alpha=90.00 beta=90.11 gamma=90.00
Space group Pm (No. 6)
Symmetry-distinct sites (fractional):
1 Ca 0.0000 0.0000 0.0000 (multiplicity 1)
2 Ca 0.4997 0.5000 0.4331 (multiplicity 1)
3 La 0.5123 0.0000 0.4946 (multiplicity 1)
4 Nd 0.0129 0.5000 0.9317 (multiplicity 1)
5 Mn 0.0057 0.2514 0.4659 (multiplicity 2)
6 Mn 0.5061 0.2508 0.9680 (multiplicity 2)
7 O 0.0736 0.0000 0.4510 (multiplicity 1)
8 O 0.2216 0.2888 0.1827 (multiplicity 2)
9 O 0.2886 0.2924 0.6843 (multiplicity 2)
10 O 0.4304 0.0000 0.9549 (multiplicity 1)
11 O 0.5814 0.5000 0.9830 (multiplicity 1)
12 O 0.7227 0.2150 0.2505 (multiplicity 2)
13 O 0.7917 0.2119 0.7532 (multiplicity 2)
14 O 0.9296 0.5000 0.4853 (multiplicity 1)

Top 6 peaks for 2θ from 10° to 90°, low angle first:
2theta  I/Imax
19.88  47
32.63  48
32.79  100
46.82  32
58.39  23
58.63  21